The following is a computed powder X-ray diffraction pattern of CrO. It was derived from a GGA+U-relaxed structure, using copper Kα.

Atomic structure:
```
data_CrO
_chemical_formula_sum 'Cr8 O8'
_symmetry_space_group_name_H-M 'P 42/m'
_symmetry_Int_Tables_number 84
_symmetry_space_group_name_Hall '-P 4c'
_cell_length_a 5.765
_cell_length_b 5.765
_cell_length_c 5.817
_cell_angle_alpha 90.00
_cell_angle_beta 90.00
_cell_angle_gamma 90.00
loop_
_atom_site_label
_atom_site_type_symbol
_atom_site_fract_x
_atom_site_fract_y
_atom_site_fract_z
Cr1 Cr 0.000 0.000 0.250
Cr2 Cr 0.000 0.500 0.000
Cr3 Cr 0.247 0.456 0.500
O1 O 0.189 0.692 0.237
```

Principal peaks in the range 2θ = 10–90°, low angle first:
2θ (°)  I (rel.)  hkl
34.5  53.2  1 0 2
34.8  100.0  2 1 0
38.0  36.9  1 1 2
38.2  81.5  2 1 1
47.1  16.9  2 1 2
55.0  16.6  2 2 2
59.7  20.9  2 1 3
59.9  30.0  1 3 2
60.0  16.5  3 2 1
64.0  11.8  0 0 4